The following is a simulated powder XRD pattern of Mn7Co4Os. It was derived from a structure optimized by DFT (GGA-PBE), using Cu Kα, 1.54184 Å.
Intensities are scaled so that the largest is 100.

Crystal structure
Cell: 4.7711 4.9652 6.4342 Å, 104.93 97.56 99.43°
Fractional coordinates of all 12 atoms:
Mn  0.0000  0.0000  0.0000
Mn  0.1657  0.2438  0.6581
Mn  0.3277  0.4970  0.3371
Mn  0.4990  0.2492  0.0005
Mn  0.5010  0.7508  0.9995
Mn  0.6723  0.5030  0.6629
Mn  0.8343  0.7562  0.3419
Co  0.1706  0.7488  0.6689
Co  0.3352  0.9971  0.3319
Co  0.6648  0.0029  0.6681
Co  0.8294  0.2512  0.3311
Os  0.0000  0.5000  0.0000

Principal peaks in the range 10 to 90 degrees two-theta, in order of rising 2θ:
| (hkl) | Position (°2θ) | I/Imax |
| --- | --- | --- |
| 0 0 1 | 14.5 | 15 |
| 2 0 1 | 44.4 | 100 |
| 0 0 3 | 44.5 | 49 |
| 2 0 -2 | 44.6 | 49 |
| 1 -2 2 | 44.7 | 97 |
| 1 2 2 | 64.5 | 16 |
| 1 2 -4 | 64.8 | 15 |
| 3 -2 0 | 65.2 | 15 |
| 4 0 -1 | 81.8 | 15 |
| 0 4 0 | 82.1 | 29 |

The following is a simulated powder XRD pattern of Mn2CoOs2. It was derived from a structure optimized by DFT (GGA-PBE), using Cu Kα, 1.54184 Å.
Intensities are scaled so that the largest is 100.

Crystal structure
Cell: 6.9487 6.9487 2.6714 Å, 90.00 90.00 90.00°
Fractional coordinates of all 10 atoms:
Mn  0.1232  0.3768  0.0000
Mn  0.3768  0.8768  0.0000
Mn  0.6232  0.1232  0.0000
Mn  0.8768  0.6232  0.0000
Co  0.0000  0.0000  0.0000
Co  0.5000  0.5000  0.0000
Os  0.1718  0.6718  0.5000
Os  0.3282  0.1718  0.5000
Os  0.6718  0.8282  0.5000
Os  0.8282  0.3282  0.5000

Principal peaks in the range 10 to 90 degrees two-theta, in order of rising 2θ:
| (hkl) | Position (°2θ) | I/Imax |
| --- | --- | --- |
| 2 0 0 | 25.6 | 18 |
| 2 1 0 | 28.7 | 50 |
| 3 1 0 | 41.1 | 44 |
| 2 0 1 | 42.7 | 34 |
| 2 1 1 | 44.7 | 100 |
| 4 1 0 | 54.4 | 22 |
| 3 3 0 | 56.2 | 14 |
| 4 1 1 | 65.5 | 24 |
| 3 3 1 | 67.0 | 18 |
| 5 2 1 | 83.1 | 13 |

The following is a simulated powder XRD pattern of Mn4CoOs. It was derived from a structure optimized by DFT (GGA-PBE), using Cu Kα, 1.54184 Å.
Intensities are scaled so that the largest is 100.

Crystal structure
Cell: 4.3838 2.5523 6.2560 Å, 90.00 103.30 90.00°
Fractional coordinates of all 6 atoms:
Mn  0.2166  0.0000  0.1550
Mn  0.2774  0.5000  0.8425
Mn  0.7226  0.5000  0.1575
Mn  0.7834  0.0000  0.8450
Co  0.0000  0.0000  0.5000
Os  0.5000  0.5000  0.5000

Principal peaks in the range 10 to 90 degrees two-theta, in order of rising 2θ:
| (hkl) | Position (°2θ) | I/Imax |
| --- | --- | --- |
| 0 0 1 | 14.5 | 75 |
| 1 0 0 | 20.8 | 33 |
| 1 0 -1 | 22.5 | 30 |
| 1 1 0 | 41.2 | 69 |
| 2 0 -1 | 41.5 | 35 |
| 0 0 3 | 44.7 | 70 |
| 1 1 1 | 45.6 | 100 |
| 2 0 -2 | 46.0 | 48 |
| 1 1 -2 | 48.2 | 96 |
| 2 0 1 | 48.4 | 47 |